NbSe4: simulated powder XRD pattern (Cu Kα), based on the GGA-PBE geometry in Alexandria.

Top 6 peaks for 10° ≤ 2θ ≤ 80°, sorted by position:
| d (Å) | intensity |
| --- | --- |
| 5.965 | 61 |
| 3.277 | 25 |
| 2.588 | 38 |
| 2.471 | 100 |
| 1.886 | 27 |
| 1.690 | 31 |

```
data_NbSe4
_space_group_name_H-M_alt 'P 4/n c c'
_space_group_IT_number 130
_cell_length_a 8.4364
_cell_length_b 8.4364
_cell_length_c 19.6647
_cell_angle_alpha 90.00
_cell_angle_beta 90.00
_cell_angle_gamma 90.00
loop_
_space_group_symop_operation_xyz
'x,y,z'
'-x,-y,-z'
'-y+1/2,x,z'
'y+1/2,-x,-z'
'-x+1/2,-y+1/2,z'
'x+1/2,y+1/2,-z'
'y,-x+1/2,z'
'-y,x+1/2,-z'
'x+1/2,-y,-z+1/2'
'-x+1/2,y,z+1/2'
'-y,-x,-z+1/2'
'y,x,z+1/2'
'-x,y+1/2,-z+1/2'
'x,-y+1/2,z+1/2'
'y+1/2,x+1/2,-z+1/2'
'-y+1/2,-x+1/2,z+1/2'
loop_
_atom_site_label
_atom_site_fract_x
_atom_site_fract_y
_atom_site_fract_z
Nb1 0.2500 0.2500 0.0715
Nb2 0.2500 0.2500 0.2618
Nb3 0.2500 0.2500 0.4159
Se1 0.0045 0.1588 0.3353
Se2 0.0092 0.1504 0.9978
Se3 0.0327 0.1437 0.6664
```